Diffraction record for K3V2SbO8. The powder diffractogram is computed, not measured: it uses the GGA+U geometry in Alexandria and copper Kα.
Intensities are scaled so that the largest is 100.

Crystal structure
```
data_K3V2SbO8
_space_group_name_H-M_alt 'P -3 m 1'
_space_group_IT_number 164
_space_group_name_Hall '-P 3 2"'
_cell_length_a 5.9984
_cell_length_b 5.9984
_cell_length_c 7.6837
_cell_angle_alpha 90.00
_cell_angle_beta 90.00
_cell_angle_gamma 120.00
loop_
_atom_site_label
_atom_site_fract_x
_atom_site_fract_y
_atom_site_fract_z
K1 0.0000 0.0000 0.0000
K2 0.3333 0.6667 0.6864
V1 0.3333 0.6667 0.2410
Sb1 0.0000 0.0000 0.5000
O1 0.1730 0.3460 0.3210
O2 0.3333 0.6667 0.0227
```

Largest 8 diffraction maxima, low angle first, 2θ = 10–90°:
d = 7.684 Å, 2θ 11.52, rel. 35, hkl 0 0 1; d = 4.304 Å, 2θ 20.64, rel. 46, hkl 1 0 1; d = 3.089 Å, 2θ 28.91, rel. 88, hkl 0 1 2; d = 2.999 Å, 2θ 29.79, rel. 100, hkl 1 1 0; d = 2.152 Å, 2θ 41.99, rel. 52, hkl 2 0 2; d = 1.748 Å, 2θ 52.33, rel. 30, hkl 1 2 2; d = 1.618 Å, 2θ 56.93, rel. 20, hkl 1 1 4; d = 1.500 Å, 2θ 61.87, rel. 19, hkl 2 2 0